# 1
Starting from DFT lattice parameters and positions (PBE), the X-ray diffraction stick pattern of Cs2TbTmTe4 was simulated for λ = 1.5418 Å (Cu Kα).
Neutral-atom scattering factors, no anomalous dispersion.

Main lines, by intensity (2θ from 5° to 70°):
hkl 1 0 3, d 3.275, 2θ = 27.23°, rel. 100.0; hkl 1 1 0, d 2.265, 2θ = 39.79°, rel. 50.6; hkl 1 0 6, d 2.369, 2θ = 37.98°, rel. 45.8; hkl 0 1 2, d 3.592, 2θ = 24.79°, rel. 39.8; hkl 1 0 4, d 2.946, 2θ = 30.34°, rel. 25.5; hkl 0 0 2, d 8.917, 2θ = 9.92°, rel. 24.3; hkl 0 2 3, d 1.863, 2θ = 48.88°, rel. 19.7; hkl 2 1 3, d 1.439, 2θ = 64.79°, rel. 16.9; hkl 0 2 6, d 1.637, 2θ = 56.17°, rel. 14.7; hkl 0 1 9, d 1.769, 2θ = 51.68°, rel. 13.0

Cell and atoms:
Unit cell a=4.5310 b=4.5310 c=17.8342 alpha=90.00 beta=90.00 gamma=120.00
Fractional coordinates of all 8 atoms:
1 Cs 0.3333 0.6667 0.2499
2 Cs 0.6667 0.3333 0.7501
3 Tb 0.0000 0.0000 0.5000
4 Tm 0.0000 0.0000 0.0000
5 Te 0.3333 0.6667 0.5960
6 Te 0.3333 0.6667 0.9066
7 Te 0.6667 0.3333 0.0934
8 Te 0.6667 0.3333 0.4040

=====

# 2
Starting from DFT lattice parameters and positions (PBE), the X-ray diffraction stick pattern of Cs2YTmTe4 was simulated for λ = 1.5418 Å (Cu Kα).
Neutral-atom scattering factors, no anomalous dispersion.

Main lines, by intensity (2θ from 5° to 70°):
hkl 1 0 3, d 3.269, 2θ = 27.28°, rel. 100.0; hkl 1 1 0, d 2.262, 2θ = 39.84°, rel. 44.1; hkl 1 0 6, d 2.364, 2θ = 38.06°, rel. 36.6; hkl 0 1 2, d 3.586, 2θ = 24.83°, rel. 26.7; hkl 0 2 3, d 1.860, 2θ = 48.96°, rel. 19.7; hkl 1 0 4, d 2.940, 2θ = 30.40°, rel. 17.3; hkl 2 1 3, d 1.437, 2θ = 64.89°, rel. 16.9; hkl 0 0 2, d 8.893, 2θ = 9.95°, rel. 13.0; hkl 0 1 9, d 1.765, 2θ = 51.81°, rel. 12.8; hkl 0 2 6, d 1.635, 2θ = 56.28°, rel. 11.6

Cell and atoms:
Unit cell a=4.5249 b=4.5249 c=17.7863 alpha=90.00 beta=90.00 gamma=120.00
Fractional coordinates of all 8 atoms:
1 Cs 0.3333 0.6667 0.2493
2 Cs 0.6667 0.3333 0.7507
3 Y 0.0000 0.0000 0.5000
4 Tm 0.0000 0.0000 0.0000
5 Te 0.3333 0.6667 0.5963
6 Te 0.3333 0.6667 0.9061
7 Te 0.6667 0.3333 0.0939
8 Te 0.6667 0.3333 0.4037